# 1
Starting from a DFT-relaxed cell (PBE, the Materials Project), the X-ray powder pattern of VNiSb was simulated for copper Kα.
Kinematic intensities with the Lorentz-polarization factor, no thermal factor.

Main lines, in order of rising 2θ (15° ≤ 2θ ≤ 90°):
| 2θ (°) | d [Å] | Rel. int. |
| --- | --- | --- |
| 26.12 | 3.411 | 44 |
| 30.26 | 2.954 | 27 |
| 43.32 | 2.089 | 100 |
| 51.29 | 1.781 | 21 |
| 53.75 | 1.705 | 7 |
| 62.93 | 1.477 | 16 |
| 69.33 | 1.355 | 8 |
| 71.40 | 1.321 | 9 |
| 79.47 | 1.206 | 31 |
| 85.38 | 1.137 | 6 |

Crystal structure
```
data_VNiSb
_space_group_name_H-M_alt 'P 1'
_space_group_IT_number 1
_space_group_name_Hall 'P 1'
_cell_length_a 4.1776
_cell_length_b 4.1776
_cell_length_c 4.1776
_cell_angle_alpha 60.00
_cell_angle_beta 60.00
_cell_angle_gamma 60.00
loop_
_atom_site_label
_atom_site_type_symbol
_atom_site_fract_x
_atom_site_fract_y
_atom_site_fract_z
V1 V 0.0000 0.0000 0.0000
Ni1 Ni 0.2500 0.2500 0.2500
Sb1 Sb 0.5000 0.5000 0.5000
```

***

# 2
Starting from a DFT-relaxed cell (PBE, the Materials Project), the X-ray powder pattern of Sb10Pb10S24Cl3 was simulated for copper Kα.
Kinematic intensities with the Lorentz-polarization factor, no thermal factor.

Main lines, in order of rising 2θ (15° ≤ 2θ ≤ 90°):
| 2θ (°) | d [Å] | Rel. int. |
| --- | --- | --- |
| 22.85 | 3.891 | 62 |
| 23.89 | 3.725 | 71 |
| 25.29 | 3.521 | 53 |
| 25.63 | 3.475 | 93 |
| 25.78 | 3.455 | 87 |
| 29.28 | 3.050 | 55 |
| 30.63 | 2.919 | 58 |
| 32.09 | 2.789 | 71 |
| 32.27 | 2.774 | 100 |
| 32.99 | 2.715 | 76 |
| 45.81 | 1.981 | 73 |
| 47.71 | 1.906 | 59 |

Crystal structure
```
data_Sb10Pb10S24Cl3
_space_group_name_H-M_alt 'P 1'
_space_group_IT_number 1
_space_group_name_Hall 'P 1'
_cell_length_a 15.4458
_cell_length_b 3.9607
_cell_length_c 19.7195
_cell_angle_alpha 90.00
_cell_angle_beta 95.20
_cell_angle_gamma 90.00
loop_
_atom_site_label
_atom_site_type_symbol
_atom_site_fract_x
_atom_site_fract_y
_atom_site_fract_z
Sb1 Sb 0.0297 0.0000 0.1866
Sb2 Sb 0.1271 0.0000 0.0145
Sb3 Sb 0.3275 0.0000 0.6169
Sb4 Sb 0.4273 0.0000 0.4149
Sb5 Sb 0.4675 0.0000 0.7846
Sb6 Sb 0.5325 0.0000 0.2154
Sb7 Sb 0.5727 0.0000 0.5851
Sb8 Sb 0.6725 0.0000 0.3831
Sb9 Sb 0.8729 0.0000 0.9855
Sb10 Sb 0.9703 0.0000 0.8134
Pb1 Pb 0.0867 0.5000 0.6526
Pb2 Pb 0.1933 0.5000 0.4494
Pb3 Pb 0.2168 0.5000 0.8546
Pb4 Pb 0.2940 0.5000 0.2521
Pb5 Pb 0.3732 0.5000 0.0531
Pb6 Pb 0.6268 0.5000 0.9469
Pb7 Pb 0.7060 0.5000 0.7479
Pb8 Pb 0.7832 0.5000 0.1454
Pb9 Pb 0.8067 0.5000 0.5506
Pb10 Pb 0.9133 0.5000 0.3474
S1 S 0.0617 0.5000 0.9182
S2 S 0.0833 0.5000 0.2654
S3 S 0.1127 0.0000 0.7644
S4 S 0.1813 0.0000 0.5588
S5 S 0.1914 0.5000 0.0949
S6 S 0.2650 0.0000 0.9596
S7 S 0.2773 0.0000 0.3595
S8 S 0.2868 0.5000 0.6942
S9 S 0.3756 0.5000 0.5029
S10 S 0.3790 0.0000 0.1665
S11 S 0.4333 0.5000 0.8618
S12 S 0.4660 0.5000 0.3236
S13 S 0.5340 0.5000 0.6764
S14 S 0.5667 0.5000 0.1382
S15 S 0.6210 0.0000 0.8335
S16 S 0.6244 0.5000 0.4971
S17 S 0.7132 0.5000 0.3058
S18 S 0.7227 0.0000 0.6405
S19 S 0.7350 0.0000 0.0404
S20 S 0.8086 0.5000 0.9051
S21 S 0.8187 0.0000 0.4412
S22 S 0.8873 0.0000 0.2356
S23 S 0.9167 0.5000 0.7346
S24 S 0.9383 0.5000 0.0818
Cl1 Cl 0.0401 0.0000 0.4126
Cl2 Cl 0.5000 0.0000 0.0000
Cl3 Cl 0.9599 0.0000 0.5874
```

***

# 3
Starting from a DFT-relaxed cell (PBE, the Materials Project), the X-ray powder pattern of CuGePSe was simulated for copper Kα.
Kinematic intensities with the Lorentz-polarization factor, no thermal factor.

Main lines, in order of rising 2θ (15° ≤ 2θ ≤ 90°):
| 2θ (°) | d [Å] | Rel. int. |
| --- | --- | --- |
| 26.75 | 3.332 | 7 |
| 27.98 | 3.189 | 100 |
| 35.43 | 2.533 | 3 |
| 42.56 | 2.124 | 3 |
| 46.51 | 1.953 | 70 |
| 55.16 | 1.665 | 42 |
| 64.85 | 1.438 | 2 |
| 67.89 | 1.381 | 11 |
| 74.93 | 1.267 | 13 |
| 75.05 | 1.266 | 3 |
| 86.26 | 1.128 | 17 |
| 86.42 | 1.126 | 5 |

Crystal structure
```
data_CuGePSe
_space_group_name_H-M_alt 'P 1'
_space_group_IT_number 1
_space_group_name_Hall 'P 1'
_cell_length_a 6.7560
_cell_length_b 6.7560
_cell_length_c 6.7560
_cell_angle_alpha 33.62
_cell_angle_beta 33.62
_cell_angle_gamma 33.62
loop_
_atom_site_label
_atom_site_type_symbol
_atom_site_fract_x
_atom_site_fract_y
_atom_site_fract_z
Cu1 Cu 0.0000 0.0000 0.0000
Ge1 Ge 0.4998 0.4998 0.4998
P1 P 0.8830 0.8830 0.8830
Se1 Se 0.3745 0.3745 0.3745
```

***

# 4
Starting from a DFT-relaxed cell (PBE, the Materials Project), the X-ray powder pattern of PuAs was simulated for copper Kα.
Kinematic intensities with the Lorentz-polarization factor, no thermal factor.

Main lines, in order of rising 2θ (15° ≤ 2θ ≤ 90°):
| 2θ (°) | d [Å] | Rel. int. |
| --- | --- | --- |
| 26.33 | 3.385 | 47 |
| 30.49 | 2.932 | 100 |
| 43.66 | 2.073 | 76 |
| 51.70 | 1.768 | 24 |
| 54.19 | 1.693 | 27 |
| 63.46 | 1.466 | 13 |
| 69.93 | 1.345 | 10 |
| 72.03 | 1.311 | 35 |
| 80.19 | 1.197 | 27 |
| 86.18 | 1.128 | 8 |

Crystal structure
```
data_PuAs
_space_group_name_H-M_alt 'P 1'
_space_group_IT_number 1
_space_group_name_Hall 'P 1'
_cell_length_a 4.1463
_cell_length_b 4.1463
_cell_length_c 4.1463
_cell_angle_alpha 60.00
_cell_angle_beta 60.00
_cell_angle_gamma 60.00
loop_
_atom_site_label
_atom_site_type_symbol
_atom_site_fract_x
_atom_site_fract_y
_atom_site_fract_z
Pu1 Pu 0.0000 0.0000 0.0000
As1 As 0.5000 0.5000 0.5000
```

***

# 5
Starting from a DFT-relaxed cell (PBE, the Materials Project), the X-ray powder pattern of BaSc2Te4 was simulated for copper Kα.
Kinematic intensities with the Lorentz-polarization factor, no thermal factor.

Main lines, in order of rising 2θ (15° ≤ 2θ ≤ 90°):
| 2θ (°) | d [Å] | Rel. int. |
| --- | --- | --- |
| 26.75 | 3.333 | 54 |
| 27.08 | 3.292 | 28 |
| 27.57 | 3.236 | 88 |
| 28.85 | 3.095 | 44 |
| 29.23 | 3.055 | 100 |
| 30.24 | 2.956 | 22 |
| 33.54 | 2.672 | 25 |
| 34.24 | 2.619 | 28 |
| 36.83 | 2.440 | 23 |
| 41.81 | 2.161 | 38 |
| 42.53 | 2.126 | 20 |
| 51.58 | 1.772 | 21 |

Crystal structure
```
data_BaSc2Te4
_space_group_name_H-M_alt 'P 1'
_space_group_IT_number 1
_space_group_name_Hall 'P 1'
_cell_length_a 13.4687
_cell_length_b 4.3216
_cell_length_c 15.7095
_cell_angle_alpha 90.00
_cell_angle_beta 90.00
_cell_angle_gamma 90.00
loop_
_atom_site_label
_atom_site_type_symbol
_atom_site_fract_x
_atom_site_fract_y
_atom_site_fract_z
Ba1 Ba 0.2378 0.2500 0.1718
Ba2 Ba 0.2622 0.7500 0.6718
Ba3 Ba 0.7378 0.2500 0.3282
Ba4 Ba 0.7622 0.7500 0.8282
Sc1 Sc 0.0564 0.2500 0.3900
Sc2 Sc 0.0801 0.2500 0.9035
Sc3 Sc 0.4199 0.7500 0.4035
Sc4 Sc 0.4436 0.7500 0.8900
Sc5 Sc 0.5564 0.2500 0.1100
Sc6 Sc 0.5801 0.2500 0.5965
Sc7 Sc 0.9199 0.7500 0.0965
Sc8 Sc 0.9436 0.7500 0.6100
Te1 Te 0.0283 0.7500 0.7848
Te2 Te 0.0869 0.2500 0.5736
Te3 Te 0.1215 0.7500 0.0259
Te4 Te 0.2032 0.7500 0.3506
Te5 Te 0.2968 0.2500 0.8506
Te6 Te 0.3785 0.2500 0.5259
Te7 Te 0.4131 0.7500 0.0736
Te8 Te 0.4717 0.2500 0.2848
Te9 Te 0.5283 0.7500 0.7152
Te10 Te 0.5869 0.2500 0.9264
Te11 Te 0.6215 0.7500 0.4741
Te12 Te 0.7032 0.7500 0.1494
Te13 Te 0.7968 0.2500 0.6494
Te14 Te 0.8785 0.2500 0.9741
Te15 Te 0.9131 0.7500 0.4264
Te16 Te 0.9717 0.2500 0.2152
```

***

# 6
Starting from a DFT-relaxed cell (PBE, the Materials Project), the X-ray powder pattern of KTm2Cu3Se5 was simulated for copper Kα.
Kinematic intensities with the Lorentz-polarization factor, no thermal factor.

Main lines, in order of rising 2θ (15° ≤ 2θ ≤ 90°):
| 2θ (°) | d [Å] | Rel. int. |
| --- | --- | --- |
| 28.77 | 3.103 | 96 |
| 29.27 | 3.051 | 80 |
| 30.73 | 2.909 | 81 |
| 32.11 | 2.787 | 70 |
| 34.53 | 2.598 | 52 |
| 36.04 | 2.492 | 100 |
| 38.37 | 2.346 | 67 |
| 39.77 | 2.267 | 37 |
| 39.91 | 2.259 | 50 |
| 43.65 | 2.074 | 50 |
| 44.40 | 2.040 | 83 |
| 48.06 | 1.893 | 60 |

Crystal structure
```
data_KTm2Cu3Se5
_space_group_name_H-M_alt 'P 1'
_space_group_IT_number 1
_space_group_name_Hall 'P 1'
_cell_length_a 7.4534
_cell_length_b 7.4534
_cell_length_c 16.7239
_cell_angle_alpha 90.00
_cell_angle_beta 90.00
_cell_angle_gamma 148.23
loop_
_atom_site_label
_atom_site_type_symbol
_atom_site_fract_x
_atom_site_fract_y
_atom_site_fract_z
K1 K 0.0594 0.9406 0.7500
K2 K 0.9406 0.0594 0.2500
Tm1 Tm 0.1914 0.8086 0.0934
Tm2 Tm 0.1914 0.8086 0.4066
Tm3 Tm 0.8086 0.1914 0.5934
Tm4 Tm 0.8086 0.1914 0.9066
Cu1 Cu 0.3375 0.6625 0.7500
Cu2 Cu 0.4136 0.5864 0.0264
Cu3 Cu 0.4136 0.5864 0.4736
Cu4 Cu 0.5864 0.4136 0.5264
Cu5 Cu 0.5864 0.4136 0.9736
Cu6 Cu 0.6625 0.3375 0.2500
Se1 Se 0.1660 0.8340 0.5722
Se2 Se 0.1660 0.8340 0.9278
Se3 Se 0.2535 0.7465 0.2500
Se4 Se 0.4408 0.5592 0.6206
Se5 Se 0.4408 0.5592 0.8794
Se6 Se 0.5592 0.4408 0.1206
Se7 Se 0.5592 0.4408 0.3794
Se8 Se 0.7465 0.2535 0.7500
Se9 Se 0.8340 0.1660 0.0722
Se10 Se 0.8340 0.1660 0.4278
```

***

# 7
Starting from a DFT-relaxed cell (PBE, the Materials Project), the X-ray powder pattern of Mg2NbFe was simulated for copper Kα.
Kinematic intensities with the Lorentz-polarization factor, no thermal factor.

Main lines, in order of rising 2θ (15° ≤ 2θ ≤ 90°):
| 2θ (°) | d [Å] | Rel. int. |
| --- | --- | --- |
| 24.16 | 3.683 | 8 |
| 27.97 | 3.190 | 34 |
| 39.97 | 2.255 | 100 |
| 47.26 | 1.923 | 4 |
| 49.50 | 1.842 | 9 |
| 57.81 | 1.595 | 16 |
| 63.57 | 1.464 | 2 |
| 65.43 | 1.426 | 11 |
| 72.60 | 1.302 | 31 |
| 77.80 | 1.228 | 1 |
| 86.25 | 1.128 | 10 |

Crystal structure
```
data_Mg2NbFe
_space_group_name_H-M_alt 'P 1'
_space_group_IT_number 1
_space_group_name_Hall 'P 1'
_cell_length_a 4.5108
_cell_length_b 4.5108
_cell_length_c 4.5108
_cell_angle_alpha 60.00
_cell_angle_beta 60.00
_cell_angle_gamma 60.00
loop_
_atom_site_label
_atom_site_type_symbol
_atom_site_fract_x
_atom_site_fract_y
_atom_site_fract_z
Mg1 Mg 0.2500 0.2500 0.2500
Mg2 Mg 0.7500 0.7500 0.7500
Nb1 Nb 0.0000 0.0000 0.0000
Fe1 Fe 0.5000 0.5000 0.5000
```

***

# 8
Starting from a DFT-relaxed cell (PBE, the Materials Project), the X-ray powder pattern of MnCd2S3 was simulated for copper Kα.
Kinematic intensities with the Lorentz-polarization factor, no thermal factor.

Main lines, in order of rising 2θ (15° ≤ 2θ ≤ 90°):
| 2θ (°) | d [Å] | Rel. int. |
| --- | --- | --- |
| 24.89 | 3.577 | 72 |
| 26.59 | 3.352 | 46 |
| 28.28 | 3.156 | 100 |
| 36.75 | 2.446 | 34 |
| 43.84 | 2.065 | 55 |
| 48.01 | 1.895 | 55 |
| 51.07 | 1.789 | 9 |
| 52.01 | 1.758 | 40 |
| 52.97 | 1.729 | 11 |
| 67.01 | 1.397 | 16 |
| 75.78 | 1.255 | 16 |
| 83.54 | 1.157 | 10 |

Crystal structure
```
data_MnCd2S3
_space_group_name_H-M_alt 'P 1'
_space_group_IT_number 1
_space_group_name_Hall 'P 1'
_cell_length_a 7.8691
_cell_length_b 7.8691
_cell_length_c 9.8062
_cell_angle_alpha 104.57
_cell_angle_beta 104.57
_cell_angle_gamma 30.45
loop_
_atom_site_label
_atom_site_type_symbol
_atom_site_fract_x
_atom_site_fract_y
_atom_site_fract_z
Mn1 Mn 0.0000 0.0000 0.0000
Mn2 Mn 0.6641 0.6641 0.3286
Cd1 Cd 0.0565 0.0565 0.6078
Cd2 Cd 0.3308 0.3308 0.6632
Cd3 Cd 0.3887 0.3887 0.2709
Cd4 Cd 0.7207 0.7207 0.9427
S1 S 0.1191 0.1191 0.8764
S2 S 0.1790 0.1790 0.4695
S3 S 0.4581 0.4581 0.5372
S4 S 0.5179 0.5179 0.1437
S5 S 0.7859 0.7859 0.2109
S6 S 0.8528 0.8528 0.8250
```

***

# 9
Starting from a DFT-relaxed cell (PBE, the Materials Project), the X-ray powder pattern of Lu2CdOs was simulated for copper Kα.
Kinematic intensities with the Lorentz-polarization factor, no thermal factor.

Main lines, in order of rising 2θ (15° ≤ 2θ ≤ 90°):
| 2θ (°) | d [Å] | Rel. int. |
| --- | --- | --- |
| 22.15 | 4.014 | 3 |
| 25.63 | 3.476 | 1 |
| 36.56 | 2.458 | 100 |
| 43.16 | 2.096 | 2 |
| 52.66 | 1.738 | 18 |
| 57.81 | 1.595 | 1 |
| 65.81 | 1.419 | 36 |
| 70.36 | 1.338 | 1 |
| 77.70 | 1.229 | 11 |
| 81.99 | 1.175 | 1 |
| 89.06 | 1.099 | 17 |

Crystal structure
```
data_Lu2CdOs
_space_group_name_H-M_alt 'P 1'
_space_group_IT_number 1
_space_group_name_Hall 'P 1'
_cell_length_a 4.9161
_cell_length_b 4.9161
_cell_length_c 4.9161
_cell_angle_alpha 60.00
_cell_angle_beta 60.00
_cell_angle_gamma 60.00
loop_
_atom_site_label
_atom_site_type_symbol
_atom_site_fract_x
_atom_site_fract_y
_atom_site_fract_z
Lu1 Lu 0.2500 0.2500 0.2500
Lu2 Lu 0.7500 0.7500 0.7500
Cd1 Cd 0.0000 0.0000 0.0000
Os1 Os 0.5000 0.5000 0.5000
```

***

- What is the formula in the first record?
  VNiSb